This entry pairs a crystal structure of FePH5CO4 with its simulated powder diffractogram. Radiation: Cu Kα, 1.54184 Å. Structure: a GGA+U-relaxed structure.

Peak list (10 most intense, 2θ from 10° to 90°, low angle first)
2θ/deg  Rel. int.  hkl
20.66  67  1 0 -1
25.24  55  -1 1 1
26.43  53  1 1 1
30.58  100  -1 1 2
31.01  73  0 2 0
31.59  77  1 1 2
32.59  31  0 2 -1
36.74  31  2 0 0
37.97  55  1 -1 3
38.81  41  1 1 3

Cell lengths 4.895, 5.776, 9.045 Å; angles 90.06, 90.04, 93.08 degrees
Space group P1 (No. 1)
Unique sites:
Fe1 0.000 0.000 0.000 [1 per cell]
Fe2 0.495 0.509 0.050 [1 per cell]
P1 0.061 0.502 0.836 [1 per cell]
P2 0.560 0.018 0.215 [1 per cell]
H1 0.027 0.417 0.216 [1 per cell]
H2 0.041 0.350 0.589 [1 per cell]
H3 0.051 0.660 0.591 [1 per cell]
H4 0.141 0.679 0.233 [1 per cell]
H5 0.357 0.511 0.625 [1 per cell]
H6 0.539 0.897 0.832 [1 per cell]
H7 0.550 0.141 0.469 [1 per cell]
H8 0.562 0.834 0.454 [1 per cell]
H9 0.624 0.164 0.821 [1 per cell]
H10 0.865 0.014 0.422 [1 per cell]
C1 0.134 0.506 0.641 [1 per cell]
C2 0.642 0.000 0.409 [1 per cell]
O1 0.195 0.517 0.230 [1 per cell]
O2 0.196 0.289 0.906 [1 per cell]
O3 0.216 0.718 0.910 [1 per cell]
O4 0.250 0.998 0.196 [1 per cell]
O5 0.696 0.008 0.817 [1 per cell]
O6 0.698 0.248 0.153 [1 per cell]
O7 0.702 0.817 0.133 [1 per cell]
O8 0.752 0.496 0.858 [1 per cell]